Structure and computed powder diffraction line list of NaTbEuSbO6 (a DFT-relaxed cell (PBE, Alexandria); CuKα).
Kinematic intensities with the Lorentz-polarization factor, no thermal factor.

Top 10 peaks for 10° ≤ 2θ ≤ 80°, sorted by position:
hkl 1 1 1, 18.4°, d = 4.833 Å, I 21
hkl 2 0 0, 21.2°, d = 4.185 Å, I 13
hkl 2 2 0, 30.2°, d = 2.959 Å, I 100
hkl 3 1 1, 35.6°, d = 2.524 Å, I 13
hkl 4 0 0, 43.2°, d = 2.093 Å, I 31
hkl 3 3 1, 47.3°, d = 1.920 Å, I 6
hkl 4 2 2, 53.6°, d = 1.709 Å, I 40
hkl 4 4 0, 62.8°, d = 1.480 Å, I 19
hkl 6 2 0, 71.3°, d = 1.323 Å, I 18
hkl 4 4 4, 79.3°, d = 1.208 Å, I 6

Crystal structure
a b c (Å): 8.371 8.371 8.371
angles (deg): 90.00 90.00 90.00
Space group F-43m (No. 216)
Unique sites:
Na 0.000 0.000 0.000 x4
Tb 0.250 0.250 0.750 x4
Eu 0.000 0.000 0.500 x4
Sb 0.250 0.250 0.250 x4
O 0.013 0.250 0.250 x24